Entry 1:
# NaAs
Calculated powder X-ray diffraction pattern, CuKα. Input: a GGA-PBE-relaxed structure.
Peak positions follow from Bragg's law for the DFT cell and can differ from measured ones.

Largest 6 diffraction maxima, by intensity, 2θ = 10–80°:
- d 2.621, I 100.0, hkl 1 1 -4
- d 2.812, I 90.6, hkl 2 0 0
- d 2.087, I 86.2, hkl 2 2 -3
- d 3.921, I 84.3, hkl 0 1 2
- d 4.320, I 74.8, hkl 1 1 -1
- d 5.625, I 70.1, hkl 1 0 0

Atomic structure:
Cell: 6.3027 5.9604 11.6703 Å, 90.00 116.82 90.00°
Space group P2_1/c (No. 14)
Inequivalent atoms, fractional coordinates:
Na1 0.2189 0.1096 0.3300 x4
Na2 0.2348 0.6634 0.5324 x4
As1 0.3130 0.1609 0.6193 x4
As2 0.3204 0.6060 0.2893 x4



Entry 2:
# NaAs
Calculated powder X-ray diffraction pattern, CuKα. Input: a GGA-PBE-relaxed structure.
Peak positions follow from Bragg's law for the DFT cell and can differ from measured ones.

Largest 6 diffraction maxima, by intensity, 2θ = 10–80°:
- d 2.512, I 100.0, hkl 1 0 1
- d 2.141, I 31.1, hkl 1 1 0
- d 4.498, I 30.6, hkl 0 0 1
- d 1.297, I 23.0, hkl 2 1 1
- d 3.028, I 22.4, hkl 1 0 0
- d 1.551, I 21.6, hkl 1 1 2

Atomic structure:
Cell: 3.0279 3.0279 4.4984 Å, 90.00 90.00 90.00°
Space group P4/mmm (No. 123)
Inequivalent atoms, fractional coordinates:
Na1 0.0000 0.0000 0.0000 x1
As1 0.5000 0.5000 0.5000 x1



Entry 3:
# Na5As4
Calculated powder X-ray diffraction pattern, CuKα. Input: a GGA-PBE-relaxed structure.
Peak positions follow from Bragg's law for the DFT cell and can differ from measured ones.

Largest 6 diffraction maxima, by intensity, 2θ = 10–80°:
- d 4.215, I 100.0, hkl 1 1 0
- d 2.407, I 58.8, hkl 3 1 1
- d 2.363, I 49.4, hkl 3 1 -3
- d 2.329, I 46.2, hkl 0 2 0
- d 2.651, I 44.9, hkl 1 1 -3
- d 4.946, I 43.7, hkl 2 0 0

Atomic structure:
Cell: 10.5103 4.6586 9.6778 Å, 90.00 109.74 90.00°
Space group C2/m (No. 12)
Inequivalent atoms, fractional coordinates:
Na1 0.0000 0.0000 0.0000 x2
Na2 0.0996 0.0000 0.3851 x4
Na3 0.2451 0.0000 0.8352 x4
As1 0.0435 0.5000 0.8279 x4
As2 0.1074 0.5000 0.6058 x4



Entry 4:
# NaAs
Calculated powder X-ray diffraction pattern, CuKα. Input: a GGA-PBE-relaxed structure.
Peak positions follow from Bragg's law for the DFT cell and can differ from measured ones.

Largest 6 diffraction maxima, by intensity, 2θ = 10–80°:
- d 4.010, I 100.0, hkl 1 1 1
- d 5.398, I 84.0, hkl 0 1 1
- d 2.701, I 53.7, hkl 2 1 0
- d 3.965, I 51.2, hkl 1 0 2
- d 2.735, I 48.9, hkl 1 1 3
- d 2.123, I 48.5, hkl 2 2 1

Atomic structure:
Cell: 5.9908 6.2762 10.5800 Å, 90.00 90.00 90.00°
Space group P2_12_12_1 (No. 19)
Inequivalent atoms, fractional coordinates:
Na1 0.1129 0.1014 0.4222 x4
Na2 0.1525 0.3413 0.7949 x4
As1 0.1152 0.5367 0.5405 x4
As2 0.1526 0.1678 0.1271 x4



Entry 5:
# NaAs2
Calculated powder X-ray diffraction pattern, CuKα. Input: a GGA-PBE-relaxed structure.
Peak positions follow from Bragg's law for the DFT cell and can differ from measured ones.

Largest 6 diffraction maxima, by intensity, 2θ = 10–80°:
- d 2.459, I 100.0, hkl 3 1 1
- d 2.354, I 78.4, hkl 2 2 2
- d 4.708, I 72.4, hkl 1 1 1
- d 1.441, I 32.3, hkl 4 4 0
- d 1.569, I 32.1, hkl 5 1 1
- d 1.229, I 28.9, hkl 6 2 2

Atomic structure:
Cell: 8.1541 8.1541 8.1541 Å, 90.00 90.00 90.00°
Space group Fd-3m (No. 227, origin choice 2)
Inequivalent atoms, fractional coordinates:
Na1 0.1250 0.1250 0.1250 x8
As1 0.0000 0.0000 0.5000 x16



Entry 6:
# NaNb2AsO8
Calculated powder X-ray diffraction pattern, CuKα. Input: a GGA-PBE-relaxed structure.
Peak positions follow from Bragg's law for the DFT cell and can differ from measured ones.

Largest 6 diffraction maxima, by intensity, 2θ = 10–80°:
- d 3.267, I 100.0, hkl 1 2 0
- d 7.578, I 89.6, hkl 0 1 1
- d 3.286, I 87.9, hkl 1 0 -4
- d 3.500, I 64.0, hkl 1 1 2
- d 2.861, I 59.0, hkl 0 2 4
- d 1.998, I 28.7, hkl 2 2 -4

Atomic structure:
Cell: 4.9817 8.7597 15.3517 Å, 90.00 100.15 90.00°
Space group P2_1/c (No. 14)
Inequivalent atoms, fractional coordinates:
Na1 0.0370 0.0219 0.1193 x4
Nb1 0.0459 0.0712 0.6393 x4
Nb2 0.4488 0.2070 0.4810 x4
As1 0.3900 0.7389 0.2344 x4
O1 0.1521 0.1078 0.3926 x4
O2 0.1739 0.6208 0.7576 x4
O3 0.1962 0.7129 0.9334 x4
O4 0.2701 0.5576 0.2463 x4
O5 0.2770 0.1247 0.0044 x4
O6 0.2945 0.2440 0.2008 x4
O7 0.3150 0.0482 0.5625 x4
O8 0.3973 0.7166 0.6246 x4



Entry 7:
# Na5SrNbAs4
Calculated powder X-ray diffraction pattern, CuKα. Input: a GGA-PBE-relaxed structure.
Peak positions follow from Bragg's law for the DFT cell and can differ from measured ones.

Largest 6 diffraction maxima, by intensity, 2θ = 10–80°:
- d 8.325, I 100.0, hkl 0 2 0
- d 2.402, I 89.3, hkl 2 6 0
- d 2.798, I 83.8, hkl 2 2 -2
- d 5.595, I 74.5, hkl 1 1 1
- d 2.904, I 67.6, hkl 3 1 1
- d 3.645, I 45.1, hkl 2 2 -1

Atomic structure:
Cell: 9.5988 16.6618 7.5592 Å, 90.00 90.04 90.00°
Space group Cc (No. 9)
Inequivalent atoms, fractional coordinates:
Na1 0.0000 0.0292 0.0000 x4
Na2 0.0058 0.3580 0.6678 x4
Na3 0.2196 0.4310 0.1721 x4
Na4 0.2860 0.0712 0.6643 x4
Na5 0.2955 0.2654 0.4999 x4
Sr1 0.2066 0.2357 0.9949 x4
Nb1 0.0045 0.1650 0.3847 x4
As1 0.0006 0.1680 0.7154 x4
As2 0.0010 0.3090 0.2804 x4
As3 0.2172 0.0955 0.2778 x4
As4 0.2871 0.4036 0.7837 x4



Entry 8:
# Na3NdAs2O8
Calculated powder X-ray diffraction pattern, CuKα. Input: a GGA-PBE-relaxed structure.
Peak positions follow from Bragg's law for the DFT cell and can differ from measured ones.

Largest 6 diffraction maxima, by intensity, 2θ = 10–80°:
- d 4.214, I 100.0, hkl 1 0 1
- d 2.963, I 76.3, hkl 1 1 0
- d 2.998, I 65.2, hkl 0 1 2
- d 2.107, I 38.6, hkl 2 0 2
- d 1.717, I 23.4, hkl 1 2 2
- d 1.876, I 20.1, hkl 2 1 1

Atomic structure:
Cell: 5.9256 5.9256 7.3865 Å, 90.00 90.00 120.00°
Space group P-3m1 (No. 164)
Inequivalent atoms, fractional coordinates:
Na1 0.0000 0.0000 0.0000 x1
Na2 0.3333 0.6667 0.6994 x2
Nd1 0.0000 0.0000 0.5000 x1
As1 0.3333 0.6667 0.2153 x2
O1 0.1777 0.3554 0.3058 x6
O2 0.3333 0.6667 0.9890 x2